Starting from a structure optimized by DFT (GGA-PBE), the powder XRD pattern of SrLiTiF6 was simulated for Cu Ka.
Peak positions follow from Bragg's law for the DFT cell and can differ from measured ones.

Principal peaks in the range 10 to 90 degrees two-theta, by angle:
2θ (°)  I/Imax
19.2  16
21.0  21
25.7  100
33.6  12
37.8  29
39.4  12
42.8  21
48.6  45
55.5  22
60.1  16

Structure:
abc: 5.3301 5.3301 10.5337
angles: 90.00 90.00 120.00
Atoms (fractional coordinates):
Sr (0.0000, 0.0000, 0.0000)
Sr (0.0000, 0.0000, 0.5000)
Li (0.3333, 0.6667, 0.2500)
Li (0.6667, 0.3333, 0.7500)
Ti (0.3333, 0.6667, 0.7500)
Ti (0.6667, 0.3333, 0.2500)
F (0.0124, 0.3696, 0.8563)
F (0.0124, 0.6428, 0.6437)
F (0.3572, 0.3696, 0.6437)
F (0.3572, 0.9876, 0.8563)
F (0.3696, 0.0124, 0.3563)
F (0.3696, 0.3572, 0.1437)
F (0.6304, 0.6428, 0.8563)
F (0.6304, 0.9876, 0.6437)
F (0.6428, 0.0124, 0.1437)
F (0.6428, 0.6304, 0.3563)
F (0.9876, 0.3572, 0.3563)
F (0.9876, 0.6304, 0.1437)

Starting from a structure optimized by DFT (GGA-PBE), the powder XRD pattern of LiTbF2 was simulated for Cu Ka.
Peak positions follow from Bragg's law for the DFT cell and can differ from measured ones.

Principal peaks in the range 10 to 90 degrees two-theta, by angle:
2θ (°)  I/Imax
15.3  100
27.6  21
30.9  46
31.7  32
37.5  23
39.4  26
47.2  16
48.8  18
50.9  23
79.9  17

Structure:
abc: 7.9160 7.9160 7.9160
angles: 131.76 131.76 70.60
Atoms (fractional coordinates):
Li (0.0000, 0.0000, 0.0000)
Li (0.0000, 0.0000, 0.5000)
Li (0.0000, 0.5000, 0.0000)
Li (0.5000, 0.0000, 0.5000)
Tb (0.0000, 0.5000, 0.5000)
Tb (0.5000, 0.0000, 0.0000)
Tb (0.5000, 0.5000, 0.0000)
Tb (0.5000, 0.5000, 0.5000)
F (0.1972, 0.6835, 0.5137)
F (0.3165, 0.3302, 0.5137)
F (0.3165, 0.8028, 0.9863)
F (0.3302, 0.3165, 0.0137)
F (0.6698, 0.6835, 0.9863)
F (0.6835, 0.1972, 0.0137)
F (0.6835, 0.6698, 0.4863)
F (0.8028, 0.3165, 0.4863)

Starting from a structure optimized by DFT (GGA-PBE), the powder XRD pattern of Li2TbF6 was simulated for Cu Ka.
Peak positions follow from Bragg's law for the DFT cell and can differ from measured ones.

Principal peaks in the range 10 to 90 degrees two-theta, by angle:
2θ (°)  I/Imax
15.8  77
19.2  100
24.2  23
24.9  26
29.2  35
29.6  38
32.8  16
33.9  24
42.9  19
43.3  15

Structure:
abc: 7.6690 5.0821 11.7170
angles: 90.00 106.43 90.00
Atoms (fractional coordinates):
Li (0.0268, 0.0154, 0.1597)
Li (0.0268, 0.4846, 0.6597)
Li (0.4034, 0.5046, 0.3040)
Li (0.4034, 0.9954, 0.8040)
Li (0.5966, 0.0046, 0.1960)
Li (0.5966, 0.4954, 0.6960)
Li (0.9732, 0.5154, 0.3403)
Li (0.9732, 0.9846, 0.8403)
Tb (0.2492, 0.0191, 0.4984)
Tb (0.2492, 0.4809, 0.9984)
Tb (0.7508, 0.5191, 0.0016)
Tb (0.7508, 0.9809, 0.5016)
F (0.0406, 0.7355, 0.0460)
F (0.0406, 0.7645, 0.5460)
F (0.0867, 0.6471, 0.8178)
F (0.0867, 0.8529, 0.3178)
F (0.2417, 0.2401, 0.1628)
F (0.2417, 0.2599, 0.6628)
F (0.2486, 0.1143, 0.8964)
F (0.2486, 0.3857, 0.3964)
F (0.4072, 0.7292, 0.1627)
F (0.4072, 0.7708, 0.6627)
F (0.4593, 0.6922, 0.9220)
F (0.4593, 0.8078, 0.4220)
F (0.5407, 0.1922, 0.5780)
F (0.5407, 0.3078, 0.0780)
F (0.5928, 0.2292, 0.3373)
F (0.5928, 0.2708, 0.8373)
F (0.7514, 0.6143, 0.6036)
F (0.7514, 0.8857, 0.1036)
F (0.7583, 0.7401, 0.3372)
F (0.7583, 0.7599, 0.8372)
F (0.9133, 0.1471, 0.6822)
F (0.9133, 0.3529, 0.1822)
F (0.9594, 0.2355, 0.4540)
F (0.9594, 0.2645, 0.9540)

Starting from a structure optimized by DFT (GGA-PBE), the powder XRD pattern of Li2TbF6 was simulated for Cu Ka.
Peak positions follow from Bragg's law for the DFT cell and can differ from measured ones.

Principal peaks in the range 10 to 90 degrees two-theta, by angle:
2θ (°)  I/Imax
14.9  100
21.8  80
23.2  33
24.3  33
30.6  60
33.4  18
35.0  23
44.7  19
46.0  17
57.7  16

Structure:
abc: 7.9252 4.3439 12.2748
angles: 90.00 104.54 90.00
Atoms (fractional coordinates):
Li (0.0517, 0.0281, 0.1770)
Li (0.0517, 0.4719, 0.6770)
Li (0.3755, 0.5593, 0.3041)
Li (0.3755, 0.9407, 0.8041)
Li (0.6245, 0.0593, 0.1959)
Li (0.6245, 0.4407, 0.6959)
Li (0.9483, 0.5281, 0.3230)
Li (0.9483, 0.9719, 0.8230)
Tb (0.2491, 0.5323, 0.9977)
Tb (0.2491, 0.9677, 0.4977)
Tb (0.7509, 0.0323, 0.5023)
Tb (0.7509, 0.4677, 0.0023)
F (0.0260, 0.7398, 0.0581)
F (0.0260, 0.7602, 0.5581)
F (0.1138, 0.6566, 0.8175)
F (0.1138, 0.8434, 0.3175)
F (0.2448, 0.2200, 0.6697)
F (0.2448, 0.2800, 0.1697)
F (0.2965, 0.0487, 0.9465)
F (0.2965, 0.4513, 0.4465)
F (0.3914, 0.6620, 0.6633)
F (0.3914, 0.8380, 0.1633)
F (0.4672, 0.5692, 0.8962)
F (0.4672, 0.9308, 0.3962)
F (0.5328, 0.0692, 0.6038)
F (0.5328, 0.4308, 0.1038)
F (0.6086, 0.1620, 0.8367)
F (0.6086, 0.3380, 0.3367)
F (0.7035, 0.5487, 0.5535)
F (0.7035, 0.9513, 0.0535)
F (0.7552, 0.7200, 0.8303)
F (0.7552, 0.7800, 0.3303)
F (0.8862, 0.1566, 0.6825)
F (0.8862, 0.3434, 0.1825)
F (0.9740, 0.2398, 0.4419)
F (0.9740, 0.2602, 0.9419)

Starting from a structure optimized by DFT (GGA-PBE), the powder XRD pattern of LiThF5 was simulated for Cu Ka.
Peak positions follow from Bragg's law for the DFT cell and can differ from measured ones.

Principal peaks in the range 10 to 90 degrees two-theta, by angle:
2θ (°)  I/Imax
16.5  87
18.6  100
21.9  54
24.9  55
26.2  68
27.6  52
29.1  63
42.8  37
43.1  61
47.8  26

Structure:
abc: 11.2845 11.2845 11.2845
angles: 95.07 95.07 145.40
Atoms (fractional coordinates):
Li (0.1648, 0.8977, 0.1042)
Li (0.2935, 0.0606, 0.3958)
Li (0.3977, 0.7935, 0.7329)
Li (0.4394, 0.3352, 0.2329)
Li (0.5606, 0.6648, 0.7671)
Li (0.6023, 0.2065, 0.2671)
Li (0.7065, 0.9394, 0.6042)
Li (0.8352, 0.1023, 0.8958)
Th (0.1879, 0.3047, 0.4951)
Th (0.1929, 0.6879, 0.3832)
Th (0.1953, 0.1903, 0.8832)
Th (0.3097, 0.6929, 0.0049)
Th (0.6903, 0.3071, 0.9951)
Th (0.8047, 0.8097, 0.1168)
Th (0.8071, 0.3121, 0.6168)
Th (0.8121, 0.6953, 0.5049)
F (0.0332, 0.7417, 0.4262)
F (0.0399, 0.9242, 0.9732)
F (0.0395, 0.9291, 0.7049)
F (0.0873, 0.6770, 0.0140)
F (0.1070, 0.5332, 0.7915)
F (0.1505, 0.0286, 0.2192)
F (0.1630, 0.0733, 0.4860)
F (0.1654, 0.4605, 0.3896)
F (0.1770, 0.6630, 0.5897)
F (0.1845, 0.3930, 0.9262)
F (0.2417, 0.3155, 0.7085)
F (0.2757, 0.6654, 0.2049)
F (0.3094, 0.9314, 0.2808)
F (0.4242, 0.9510, 0.8844)
F (0.4267, 0.4127, 0.0897)
F (0.4291, 0.2243, 0.8896)
F (0.4314, 0.6505, 0.6220)
F (0.4333, 0.4601, 0.3844)
F (0.4510, 0.0667, 0.5268)
F (0.4714, 0.1906, 0.1220)
F (0.5286, 0.8094, 0.8780)
F (0.5490, 0.9333, 0.4732)
F (0.5667, 0.5399, 0.6156)
F (0.5686, 0.3495, 0.3780)
F (0.5709, 0.7757, 0.1104)
F (0.5733, 0.5873, 0.9103)
F (0.5758, 0.0490, 0.1156)
F (0.6906, 0.0686, 0.7192)
F (0.7243, 0.3346, 0.7951)
F (0.7583, 0.6845, 0.2915)
F (0.8155, 0.6070, 0.0738)
F (0.8230, 0.3370, 0.4103)
F (0.8346, 0.5395, 0.6104)
F (0.8370, 0.9267, 0.5140)
F (0.8495, 0.9714, 0.7808)
F (0.8930, 0.4668, 0.2085)
F (0.9127, 0.3230, 0.9860)
F (0.9605, 0.0709, 0.2951)
F (0.9601, 0.0758, 0.0268)
F (0.9668, 0.2583, 0.5738)

Starting from a structure optimized by DFT (GGA-PBE), the powder XRD pattern of Li2TiF6 was simulated for Cu Ka.
Peak positions follow from Bragg's law for the DFT cell and can differ from measured ones.

Principal peaks in the range 10 to 90 degrees two-theta, by angle:
2θ (°)  I/Imax
19.6  38
21.2  100
26.7  55
33.3  21
40.2  74
42.8  23
44.0  15
52.9  41
55.0  21
67.0  25

Structure:
abc: 4.7218 4.7218 9.0690
angles: 90.00 90.00 90.00
Atoms (fractional coordinates):
Li (0.0000, 0.0000, 0.1616)
Li (0.0000, 0.0000, 0.8384)
Li (0.5000, 0.5000, 0.3384)
Li (0.5000, 0.5000, 0.6616)
Ti (0.0000, 0.0000, 0.5000)
Ti (0.5000, 0.5000, 0.0000)
F (0.1926, 0.1926, 0.3469)
F (0.1926, 0.1926, 0.6531)
F (0.2152, 0.2152, 0.0000)
F (0.2848, 0.7152, 0.5000)
F (0.3074, 0.6926, 0.1531)
F (0.3074, 0.6926, 0.8469)
F (0.6926, 0.3074, 0.1531)
F (0.6926, 0.3074, 0.8469)
F (0.7152, 0.2848, 0.5000)
F (0.7848, 0.7848, 0.0000)
F (0.8074, 0.8074, 0.3469)
F (0.8074, 0.8074, 0.6531)

Starting from a structure optimized by DFT (GGA-PBE), the powder XRD pattern of Li3TlF6 was simulated for Cu Ka.
Peak positions follow from Bragg's law for the DFT cell and can differ from measured ones.

Principal peaks in the range 10 to 90 degrees two-theta, by angle:
2θ (°)  I/Imax
18.6  100
21.5  88
30.5  40
36.0  67
43.7  26
47.9  33
49.2  38
54.3  17
57.8  21
66.8  21

Structure:
abc: 5.8565 5.8565 5.8565
angles: 60.00 60.00 60.00
Atoms (fractional coordinates):
Li (0.0000, 0.0000, 0.0000)
Li (0.2500, 0.2500, 0.2500)
Li (0.7500, 0.7500, 0.7500)
Tl (0.5000, 0.5000, 0.5000)
F (0.2391, 0.2391, 0.7609)
F (0.2391, 0.7609, 0.2391)
F (0.2391, 0.7609, 0.7609)
F (0.7609, 0.2391, 0.2391)
F (0.7609, 0.2391, 0.7609)
F (0.7609, 0.7609, 0.2391)

Starting from a structure optimized by DFT (GGA-PBE), the powder XRD pattern of Li4UF8 was simulated for Cu Ka.
Peak positions follow from Bragg's law for the DFT cell and can differ from measured ones.

Principal peaks in the range 10 to 90 degrees two-theta, by angle:
2θ (°)  I/Imax
17.4  100
17.5  48
19.6  56
19.9  73
23.4  35
29.4  36
32.0  23
40.3  31
41.7  23
41.9  41

Structure:
abc: 9.9648 10.1279 5.8935
angles: 90.00 90.00 90.00
Atoms (fractional coordinates):
Li (0.1005, 0.0796, 0.1295)
Li (0.1005, 0.4204, 0.1295)
Li (0.1279, 0.0540, 0.6212)
Li (0.1279, 0.4460, 0.6212)
Li (0.3721, 0.5540, 0.1212)
Li (0.3721, 0.9460, 0.1212)
Li (0.3995, 0.5796, 0.6295)
Li (0.3995, 0.9204, 0.6295)
Li (0.6005, 0.0796, 0.3705)
Li (0.6005, 0.4204, 0.3705)
Li (0.6279, 0.0540, 0.8788)
Li (0.6279, 0.4460, 0.8788)
Li (0.8721, 0.5540, 0.3788)
Li (0.8721, 0.9460, 0.3788)
Li (0.8995, 0.5796, 0.8705)
Li (0.8995, 0.9204, 0.8705)
U (0.1371, 0.7500, 0.3688)
U (0.3629, 0.2500, 0.8688)
U (0.6371, 0.7500, 0.1312)
U (0.8629, 0.2500, 0.6312)
F (0.0161, 0.6107, 0.1378)
F (0.0161, 0.8893, 0.1378)
F (0.0182, 0.6159, 0.6104)
F (0.0182, 0.8841, 0.6104)
F (0.1977, 0.2500, 0.6219)
F (0.2020, 0.2500, 0.1246)
F (0.2380, 0.5315, 0.3742)
F (0.2380, 0.9685, 0.3742)
F (0.2620, 0.0315, 0.8742)
F (0.2620, 0.4685, 0.8742)
F (0.2980, 0.7500, 0.6246)
F (0.3023, 0.7500, 0.1219)
F (0.4818, 0.1159, 0.1104)
F (0.4818, 0.3841, 0.1104)
F (0.4839, 0.1107, 0.6378)
F (0.4839, 0.3893, 0.6378)
F (0.5161, 0.6107, 0.3622)
F (0.5161, 0.8893, 0.3622)
F (0.5182, 0.6159, 0.8896)
F (0.5182, 0.8841, 0.8896)
F (0.6977, 0.2500, 0.8781)
F (0.7020, 0.2500, 0.3754)
F (0.7380, 0.5315, 0.1258)
F (0.7380, 0.9685, 0.1258)
F (0.7620, 0.0315, 0.6258)
F (0.7620, 0.4685, 0.6258)
F (0.7980, 0.7500, 0.8754)
F (0.8023, 0.7500, 0.3781)
F (0.9818, 0.1159, 0.3896)
F (0.9818, 0.3841, 0.3896)
F (0.9839, 0.1107, 0.8622)
F (0.9839, 0.3893, 0.8622)